Entry 1:
Simulated X-ray powder pattern
Compound: Nd12Ga6N
Radiation: Cu Kα, 1.54184 Å
Structure: the GGA-PBE geometry in Alexandria
Neutral-atom scattering factors, no anomalous dispersion.

Atomic structure:
```
data_Nd12Ga6N
_chemical_formula_sum 'Nd12 Ga6 N1'
_cell_length_a 8.1902
_cell_length_b 8.1902
_cell_length_c 8.1902
_cell_angle_alpha 93.98
_cell_angle_beta 93.98
_cell_angle_gamma 93.98
_symmetry_space_group_name_H-M 'P 1'
_symmetry_Int_Tables_number 1
loop_
_symmetry_equiv_pos_as_xyz
'x,y,z'
loop_
_atom_site_label
_atom_site_type_symbol
_atom_site_fract_x
_atom_site_fract_y
_atom_site_fract_z
_atom_site_occupancy
Nd1 Nd 0.0372 0.7036 0.9257 1
Nd2 Nd 0.0743 0.9628 0.2964 1
Nd3 Nd 0.1898 0.5456 0.4212 1
Nd4 Nd 0.2964 0.0743 0.9628 1
Nd5 Nd 0.4212 0.1898 0.5456 1
Nd6 Nd 0.4544 0.5788 0.8102 1
Nd7 Nd 0.5456 0.4212 0.1898 1
Nd8 Nd 0.5788 0.8102 0.4544 1
Nd9 Nd 0.7036 0.9257 0.0372 1
Nd10 Nd 0.8102 0.4544 0.5788 1
Nd11 Nd 0.9257 0.0372 0.7036 1
Nd12 Nd 0.9628 0.2964 0.0743 1
Ga1 Ga 0.1461 0.3507 0.7402 1
Ga2 Ga 0.2598 0.8539 0.6493 1
Ga3 Ga 0.3507 0.7402 0.1461 1
Ga4 Ga 0.6493 0.2598 0.8539 1
Ga5 Ga 0.7402 0.1461 0.3507 1
Ga6 Ga 0.8539 0.6493 0.2598 1
N1 N 0.0000 0.0000 0.0000 1
```

Largest 10 diffraction maxima, sorted by position, 2θ from 10° to 90°:
- 23.68°, intensity 25
- 26.46°, intensity 23
- 28.45°, intensity 71
- 29.84°, intensity 28
- 31.84°, intensity 96
- 34.01°, intensity 33
- 35.62°, intensity 31
- 36.32°, intensity 100
- 49.40°, intensity 18
- 58.64°, intensity 17

***

Entry 2:
Simulated X-ray powder pattern
Compound: CaEr2Au3
Radiation: Cu Kα, 1.54184 Å
Structure: the GGA-PBE geometry in Alexandria
Neutral-atom scattering factors, no anomalous dispersion.

Atomic structure:
```
data_CaEr2Au3
_chemical_formula_sum 'Ca1 Er2 Au3'
_cell_length_a 3.5752
_cell_length_b 3.5752
_cell_length_c 10.9152
_cell_angle_alpha 90.00
_cell_angle_beta 90.00
_cell_angle_gamma 90.00
_symmetry_space_group_name_H-M 'P 1'
_symmetry_Int_Tables_number 1
loop_
_symmetry_equiv_pos_as_xyz
'x,y,z'
loop_
_atom_site_label
_atom_site_type_symbol
_atom_site_fract_x
_atom_site_fract_y
_atom_site_fract_z
_atom_site_occupancy
Ca1 Ca 0.0000 0.0000 0.0000 1
Er1 Er 0.0000 0.0000 0.3344 1
Er2 Er 0.0000 0.0000 0.6656 1
Au1 Au 0.5000 0.5000 0.1846 1
Au2 Au 0.5000 0.5000 0.5000 1
Au3 Au 0.5000 0.5000 0.8154 1
```

Largest 10 diffraction maxima, sorted by position, 2θ from 10° to 90°:
- 16.24°, intensity 6
- 35.19°, intensity 100
- 35.51°, intensity 51
- 50.15°, intensity 8
- 51.10°, intensity 18
- 62.94°, intensity 16
- 63.56°, intensity 36
- 74.40°, intensity 10
- 85.80°, intensity 8
- 85.98°, intensity 9

***

Entry 3:
Simulated X-ray powder pattern
Compound: HAu
Radiation: Cu Kα, 1.54184 Å
Structure: the GGA-PBE geometry in Alexandria
Neutral-atom scattering factors, no anomalous dispersion.

Atomic structure:
```
data_HAu
_chemical_formula_sum 'H8 Au8'
_cell_length_a 8.7169
_cell_length_b 8.7169
_cell_length_c 2.8895
_cell_angle_alpha 90.00
_cell_angle_beta 90.00
_cell_angle_gamma 90.00
_symmetry_space_group_name_H-M 'P 1'
_symmetry_Int_Tables_number 1
loop_
_symmetry_equiv_pos_as_xyz
'x,y,z'
loop_
_atom_site_label
_atom_site_type_symbol
_atom_site_fract_x
_atom_site_fract_y
_atom_site_fract_z
_atom_site_occupancy
H1 H 0.0529 0.7836 0.0000 1
H2 H 0.2164 0.0529 0.0000 1
H3 H 0.2966 0.4299 0.5000 1
H4 H 0.4299 0.7034 0.5000 1
H5 H 0.5701 0.2966 0.5000 1
H6 H 0.7034 0.5701 0.5000 1
H7 H 0.7836 0.9471 0.0000 1
H8 H 0.9471 0.2164 0.0000 1
Au1 Au 0.1046 0.6790 0.5000 1
Au2 Au 0.1883 0.3897 0.0000 1
Au3 Au 0.3210 0.1046 0.5000 1
Au4 Au 0.3897 0.8117 0.0000 1
Au5 Au 0.6103 0.1883 0.0000 1
Au6 Au 0.6790 0.8954 0.5000 1
Au7 Au 0.8117 0.6103 0.0000 1
Au8 Au 0.8954 0.3210 0.5000 1
```

Largest 10 diffraction maxima, sorted by position, 2θ from 10° to 90°:
- 14.37°, intensity 48
- 20.38°, intensity 12
- 32.48°, intensity 69
- 38.79°, intensity 100
- 41.43°, intensity 9
- 46.60°, intensity 27
- 62.19°, intensity 39
- 74.09°, intensity 13
- 77.45°, intensity 16
- 83.24°, intensity 11

***

Repeat the first record exactly.
Simulated X-ray powder pattern
Compound: Nd12Ga6N
Radiation: Cu Kα, 1.54184 Å
Structure: the GGA-PBE geometry in Alexandria
Neutral-atom scattering factors, no anomalous dispersion.

Atomic structure:
```
data_Nd12Ga6N
_chemical_formula_sum 'Nd12 Ga6 N1'
_cell_length_a 8.1902
_cell_length_b 8.1902
_cell_length_c 8.1902
_cell_angle_alpha 93.98
_cell_angle_beta 93.98
_cell_angle_gamma 93.98
_symmetry_space_group_name_H-M 'P 1'
_symmetry_Int_Tables_number 1
loop_
_symmetry_equiv_pos_as_xyz
'x,y,z'
loop_
_atom_site_label
_atom_site_type_symbol
_atom_site_fract_x
_atom_site_fract_y
_atom_site_fract_z
_atom_site_occupancy
Nd1 Nd 0.0372 0.7036 0.9257 1
Nd2 Nd 0.0743 0.9628 0.2964 1
Nd3 Nd 0.1898 0.5456 0.4212 1
Nd4 Nd 0.2964 0.0743 0.9628 1
Nd5 Nd 0.4212 0.1898 0.5456 1
Nd6 Nd 0.4544 0.5788 0.8102 1
Nd7 Nd 0.5456 0.4212 0.1898 1
Nd8 Nd 0.5788 0.8102 0.4544 1
Nd9 Nd 0.7036 0.9257 0.0372 1
Nd10 Nd 0.8102 0.4544 0.5788 1
Nd11 Nd 0.9257 0.0372 0.7036 1
Nd12 Nd 0.9628 0.2964 0.0743 1
Ga1 Ga 0.1461 0.3507 0.7402 1
Ga2 Ga 0.2598 0.8539 0.6493 1
Ga3 Ga 0.3507 0.7402 0.1461 1
Ga4 Ga 0.6493 0.2598 0.8539 1
Ga5 Ga 0.7402 0.1461 0.3507 1
Ga6 Ga 0.8539 0.6493 0.2598 1
N1 N 0.0000 0.0000 0.0000 1
```

Largest 10 diffraction maxima, sorted by position, 2θ from 10° to 90°:
- 23.68°, intensity 25
- 26.46°, intensity 23
- 28.45°, intensity 71
- 29.84°, intensity 28
- 31.84°, intensity 96
- 34.01°, intensity 33
- 35.62°, intensity 31
- 36.32°, intensity 100
- 49.40°, intensity 18
- 58.64°, intensity 17